Entry 1:
For Ac3CdNi2Sn6, a cell relaxed with GGA-PBE gives the theoretical X-ray diffraction stick pattern in this record (Cu Kα (λ = 1.5418 Å)).
Peak positions follow from Bragg's law for the DFT cell and can differ from measured ones.

Top 6 peaks for 2θ = 10–90°, in order of rising 2θ:
2θ (°)  I (rel.)
27.43  51
32.78  100
33.03  92
36.56  72
39.16  53
56.61  83

```
Ac3CdNi2Sn6
1.0
6.5022 0.0000 0.0000
-3.2511 5.6311 0.0000
0.0000 0.0000 10.0812
Ac Cd Ni Sn
3 1 2 6
Cartesian
0.0000 0.0000 0.0000
0.0000 3.7541 5.9093
3.2511 1.8770 4.1719
0.0000 0.0000 5.0406
0.0000 3.7541 0.8545
3.2511 1.8770 9.2267
0.0000 1.9731 2.7369
-1.5424 4.6445 2.7369
1.7087 0.9865 7.3443
1.5424 4.6445 2.7369
4.7935 0.9865 7.3443
3.2511 3.6580 7.3443
```

Entry 2:
For AcNpCd2O8, a cell relaxed with GGA-PBE gives the theoretical X-ray diffraction stick pattern in this record (Cu Kα (λ = 1.5418 Å)).
Peak positions follow from Bragg's law for the DFT cell and can differ from measured ones.

Top 6 peaks for 2θ = 10–90°, in order of rising 2θ:
2θ (°)  I (rel.)
25.67  87
30.01  100
36.50  17
47.97  32
48.12  38
52.77  12

```
AcNpCd2O8
1.0
4.8914 0.0000 0.0000
0.0000 7.4952 0.0000
-0.0084 0.0000 4.9232
Ac Np Cd O
1 1 2 8
Cartesian
0.0000 0.0000 0.0000
0.0000 3.7476 0.0000
2.4415 1.9552 2.4616
2.4415 5.5400 2.4616
1.0706 2.1828 4.2178
1.0706 5.3125 4.2178
1.1512 0.0000 2.3273
1.2035 3.7476 1.5739
3.6795 3.7476 3.3493
3.7318 0.0000 2.5959
3.8124 2.1828 0.7054
3.8124 5.3125 0.7054
```

Entry 3:
For Ac4Cd2O, a cell relaxed with GGA-PBE gives the theoretical X-ray diffraction stick pattern in this record (Cu Kα (λ = 1.5418 Å)).
Peak positions follow from Bragg's law for the DFT cell and can differ from measured ones.

Top 6 peaks for 2θ = 10–90°, in order of rising 2θ:
2θ (°)  I (rel.)
26.27  100
31.38  29
31.58  27
32.08  73
34.28  65
47.30  36

```
Ac4Cd2O
1.0
-2.6159 2.6159 8.4991
2.6159 -2.6159 8.4991
2.6159 2.6159 -8.4991
Ac Cd O
4 2 1
Cartesian
2.6159 0.0000 0.0000
0.0000 0.0000 2.9982
0.0000 2.6159 0.0000
0.0000 0.0000 13.9999
0.0000 0.0000 6.2737
0.0000 0.0000 10.7244
0.0000 0.0000 0.0000
```

Entry 4:
For AcCd2OsO8, a cell relaxed with GGA-PBE gives the theoretical X-ray diffraction stick pattern in this record (Cu Kα (λ = 1.5418 Å)).
Peak positions follow from Bragg's law for the DFT cell and can differ from measured ones.

Top 6 peaks for 2θ = 10–90°, in order of rising 2θ:
2θ (°)  I (rel.)
25.21  47
26.03  47
31.02  100
36.55  31
48.20  39
49.14  34

```
AcCd2OsO8
1.0
4.9179 0.0000 0.0000
0.0000 7.1179 0.0000
-0.1549 0.0000 4.9188
Ac Cd Os O
1 2 1 8
Cartesian
0.0000 0.0000 0.0000
2.3815 1.8724 2.4594
2.3815 5.2455 2.4594
0.0000 3.5590 0.0000
0.9430 2.1896 4.2476
0.9430 4.9283 4.2476
1.0419 3.5590 1.5550
1.0931 0.0000 2.2862
3.6699 0.0000 2.6326
3.7211 3.5590 3.3639
3.8200 2.1896 0.6712
3.8200 4.9283 0.6712
```

Entry 5:
For Ac2CdPtO5, a cell relaxed with GGA-PBE gives the theoretical X-ray diffraction stick pattern in this record (Cu Kα (λ = 1.5418 Å)).
Peak positions follow from Bragg's law for the DFT cell and can differ from measured ones.

Top 6 peaks for 2θ = 10–90°, in order of rising 2θ:
2θ (°)  I (rel.)
27.34  25
29.01  100
31.18  33
31.55  52
34.79  24
41.94  32

```
Ac2CdPtO5
1.0
7.2936 0.0000 0.0000
0.0000 7.2936 0.0000
0.0000 0.0000 5.7374
Ac Cd Pt O
4 2 2 10
Cartesian
1.2893 2.3575 0.0000
2.3575 6.0043 0.0000
4.9361 1.2893 0.0000
6.0043 4.9361 0.0000
0.0000 0.0000 2.8687
3.6468 3.6468 2.8687
0.0000 3.6468 2.8687
3.6468 0.0000 2.8687
0.0000 0.0000 0.0000
1.0021 4.6489 1.4654
1.0021 4.6489 4.2721
2.6447 1.0021 1.4654
2.6447 1.0021 4.2721
3.6468 3.6468 0.0000
4.6489 6.2915 1.4654
4.6489 6.2915 4.2721
6.2915 2.6447 1.4654
6.2915 2.6447 4.2721
```

Entry 6:
For AcCdRhO4, a cell relaxed with GGA-PBE gives the theoretical X-ray diffraction stick pattern in this record (Cu Kα (λ = 1.5418 Å)).
Peak positions follow from Bragg's law for the DFT cell and can differ from measured ones.

Top 6 peaks for 2θ = 10–90°, in order of rising 2θ:
2θ (°)  I (rel.)
16.89  19
27.48  100
34.14  52
41.73  26
46.91  29
56.71  21

```
AcCdRhO4
1.0
-3.4129 4.1313 4.1049
3.4129 -4.1313 4.1049
3.4129 4.1313 -4.1049
Ac Cd Rh O
2 2 2 8
Cartesian
0.0000 0.0000 0.0000
0.0000 4.1313 0.0000
3.4129 2.0656 0.4687
0.0000 2.0656 3.6362
1.7064 2.0656 -2.0525
1.7064 -2.0656 2.0525
3.4129 -0.7848 1.7296
3.4129 3.3465 -1.7296
1.3960 2.0656 0.0510
2.0169 -2.0656 4.1560
1.3960 6.1969 -0.0510
2.0169 2.0656 4.0539
0.0000 0.7848 5.8345
0.0000 4.9161 2.3753
```

Entry 7:
For SrAc2CdO5, a cell relaxed with GGA-PBE gives the theoretical X-ray diffraction stick pattern in this record (Cu Kα (λ = 1.5418 Å)).
Peak positions follow from Bragg's law for the DFT cell and can differ from measured ones.

Top 6 peaks for 2θ = 10–90°, in order of rising 2θ:
2θ (°)  I (rel.)
13.98  44
28.14  90
28.82  100
31.51  89
40.20  72
55.27  24

```
SrAc2CdO5
1.0
7.1022 0.0000 0.0000
0.0000 7.1022 0.0000
0.0000 0.0000 6.3337
Sr Ac Cd O
2 4 2 10
Cartesian
0.0000 0.0000 0.0000
3.5511 3.5511 0.0000
1.2260 2.3252 3.1669
2.3252 5.8763 3.1669
4.7771 1.2260 3.1669
5.8763 4.7771 3.1669
0.0000 3.5511 0.0000
3.5511 0.0000 0.0000
0.0000 0.0000 3.1669
1.0968 4.6479 1.5386
1.0968 4.6479 4.7952
2.4543 1.0968 1.5386
2.4543 1.0968 4.7952
3.5511 3.5511 3.1669
4.6479 6.0054 1.5386
4.6479 6.0054 4.7952
6.0054 2.4543 1.5386
6.0054 2.4543 4.7952
```

Entry 8:
For Ac2CdTeO6, a cell relaxed with GGA-PBE gives the theoretical X-ray diffraction stick pattern in this record (Cu Kα (λ = 1.5418 Å)).
Peak positions follow from Bragg's law for the DFT cell and can differ from measured ones.

Top 6 peaks for 2θ = 10–90°, in order of rising 2θ:
2θ (°)  I (rel.)
20.40  25
28.83  100
29.20  95
41.49  45
51.08  27
51.31  45

```
Ac2CdTeO6
1.0
3.0971 1.7881 4.9639
-3.0971 1.7881 4.9639
0.0000 -3.5762 4.9639
Ac Cd Te O
2 1 1 6
Cartesian
0.0000 0.0000 0.0000
0.0000 0.0000 7.2960
0.0000 0.0000 3.3871
0.0000 0.0000 10.7377
-1.0573 -2.1513 6.7842
-1.6338 0.2475 9.4299
-1.3344 1.9912 6.7842
0.6026 -1.5386 9.4299
2.3917 0.1600 6.7842
1.0312 1.2912 9.4300
```